1.
Diffraction record for ErMg2Tl3. The powder X-ray diffraction pattern is theoretical, not measured: it uses the PBE geometry in Alexandria and Cu Kα.

Top 12 peaks for 2θ = 10–80°, in order of falling intensity:
d [Å]	two_theta	I (rel.)
2.647	33.87	1000
2.530	35.49	451
1.482	62.69	345
3.577	24.89	241
1.553	59.53	188
1.789	51.06	162
3.935	22.60	145
2.128	42.48	116
1.323	71.25	111
1.967	46.14	101
1.725	53.10	81
3.424	26.03	80

Structural model:
```
ErMg2Tl3
1.0
3.577 0.000 0.000
0.000 3.577 0.000
0.000 0.000 11.804
Er Mg Tl
1 2 3
Direct
0.000 0.000 0.000
0.000 0.000 0.337
0.000 0.000 0.663
0.500 0.500 0.178
0.500 0.500 0.500
0.500 0.500 0.822
```



2.
Diffraction record for CaGa2Te4. The powder X-ray diffraction pattern is theoretical, not measured: it uses the PBE geometry in Alexandria and Cu Kα.

Top 12 peaks for 2θ = 10–80°, in order of falling intensity:
d [Å]	two_theta	I (rel.)
3.210	27.79	1000
2.608	34.39	572
1.897	47.97	346
5.759	15.39	322
1.923	47.28	293
2.880	31.06	225
2.052	44.14	220
1.488	62.39	144
3.396	26.24	105
1.273	74.57	82
1.917	47.42	75
1.698	54.01	67

Structural model:
```
CaGa2Te4
1.0
3.396 -5.751 0.000
3.396 5.751 0.000
0.000 0.000 11.533
Ca Ga Te
2 4 8
Direct
0.000 0.000 0.250
0.000 0.000 0.750
0.260 0.735 0.000
0.265 0.740 0.500
0.735 0.260 0.500
0.740 0.265 0.000
0.000 0.500 0.179
0.000 0.500 0.821
0.156 0.300 0.500
0.300 0.156 0.000
0.500 0.000 0.321
0.500 0.000 0.679
0.700 0.844 0.000
0.844 0.700 0.500
```



3.
Diffraction record for SmScNiIr. The powder X-ray diffraction pattern is theoretical, not measured: it uses the PBE geometry in Alexandria and Cu Kα.

Top 10 peaks for 2θ = 10–80°, in order of falling intensity:
d [Å]	two_theta	I (rel.)
2.372	37.92	1000
1.370	68.50	344
3.874	22.96	308
1.678	54.72	171
2.023	44.80	168
1.539	60.10	73
1.291	73.31	56
3.355	26.57	22
1.500	61.83	9
1.937	46.90	7

Structural model:
```
SmScNiIr
1.0
0.000 3.355 3.355
3.355 0.000 3.355
3.355 3.355 0.000
Sm Sc Ni Ir
1 1 1 1
Direct
0.000 0.000 0.000
0.500 0.500 0.500
0.750 0.750 0.750
0.250 0.250 0.250
```